(1)
This entry pairs a crystal structure of NaTbEuSbO6 with its computed XRD peak list. Radiation: λ = 1.5418 Å (Cu Kα). Structure: a structure optimized by DFT (GGA-PBE).
Intensities are scaled so that the largest is 100.

Principal peaks in the range 10 to 80 degrees two-theta, by angle:
18.32°, I = 20.9
30.13°, I = 100.0
43.14°, I = 31.5
53.52°, I = 40.4
62.65°, I = 19.3
71.08°, I = 17.8

Atomic structure:
```
NaTbEuSbO6
1.0
0.0000 4.1942 4.1942
4.1942 0.0000 4.1942
4.1942 4.1942 0.0000
Na Tb Eu Sb O
1 1 1 1 6
Cartesian
0.0000 0.0000 0.0000 Na
2.0971 2.0971 2.0971 Tb
4.1942 4.1942 4.1942 Eu
6.2913 6.2913 6.2913 Sb
6.2913 6.2913 4.3030 O
6.2913 4.3030 6.2913 O
8.2796 6.2913 6.2913 O
4.3030 6.2913 6.2913 O
6.2913 8.2796 6.2913 O
6.2913 6.2913 8.2796 O
```

---

(2)
This entry pairs a crystal structure of NaEuZrSnO6 with its computed XRD peak list. Radiation: λ = 1.5418 Å (Cu Kα). Structure: a structure optimized by DFT (GGA-PBE).
Intensities are scaled so that the largest is 100.

Principal peaks in the range 10 to 80 degrees two-theta, by angle:
18.64°, I = 29.3
30.66°, I = 100.0
43.91°, I = 34.2
54.51°, I = 40.7
63.85°, I = 20.9
72.48°, I = 17.8

Atomic structure:
```
NaEuZrSnO6
1.0
0.0000 4.1236 4.1236
4.1236 0.0000 4.1236
4.1236 4.1236 0.0000
Na Eu Zr Sn O
1 1 1 1 6
Cartesian
0.0000 0.0000 0.0000 Na
4.1236 4.1236 4.1236 Eu
6.1854 6.1854 6.1854 Zr
2.0618 2.0618 2.0618 Sn
2.0618 2.0618 0.0168 O
2.0618 0.0168 2.0618 O
4.1068 2.0618 2.0618 O
0.0168 2.0618 2.0618 O
2.0618 4.1068 2.0618 O
2.0618 2.0618 4.1068 O
```

---

(3)
This entry pairs a crystal structure of Na2Eu2Ti2O9 with its computed XRD peak list. Radiation: λ = 1.5418 Å (Cu Kα). Structure: a structure optimized by DFT (GGA-PBE).
Intensities are scaled so that the largest is 100.

Principal peaks in the range 10 to 80 degrees two-theta, by angle:
28.35°, I = 100.0
28.58°, I = 82.3
31.96°, I = 43.6
32.17°, I = 53.4
34.49°, I = 80.3
50.64°, I = 51.5

Atomic structure:
```
Na2Eu2Ti2O9
1.0
-1.8487 15.0073 1.8288
1.8487 -15.0073 1.8288
1.8487 15.0073 -1.8288
Na Eu Ti O
2 2 2 9
Cartesian
0.0000 1.5457 0.0000 Na
0.0000 28.4688 0.0000 Na
0.0000 6.0791 0.1654 Eu
0.0000 23.9354 0.1654 Eu
0.0000 11.1823 0.1594 Ti
0.0000 18.8323 0.1594 Ti
1.8487 4.4479 0.1625 O
0.0000 8.3607 0.1677 O
1.8487 10.6033 0.1672 O
0.0000 12.9353 0.1750 O
0.0000 0.0000 1.8190 O
0.0000 17.0793 0.1750 O
0.0000 4.4039 1.9960 O
0.0000 21.6538 0.1677 O
0.0000 10.5594 1.9913 O
```

---

(4)
This entry pairs a crystal structure of NaEuTi4O12 with its computed XRD peak list. Radiation: λ = 1.5418 Å (Cu Kα). Structure: a structure optimized by DFT (GGA-PBE).
Intensities are scaled so that the largest is 100.

Principal peaks in the range 10 to 80 degrees two-theta, by angle:
10.87°, I = 38.2
15.82°, I = 41.2
19.23°, I = 100.0
31.44°, I = 37.1
31.59°, I = 41.9
31.95°, I = 41.1

Atomic structure:
```
NaEuTi4O12
1.0
8.1392 0.0000 0.0000
0.0000 3.9436 3.9806
0.0000 -3.9436 3.9806
Na Eu Ti O
1 1 4 12
Cartesian
0.0000 0.0000 0.0000 Na
4.0696 0.0000 3.7736 Eu
1.9206 -1.9206 5.8636 Ti
1.9206 1.9206 5.8636 Ti
6.2186 -1.9206 5.8636 Ti
6.2186 1.9206 5.8636 Ti
0.0000 -1.6849 1.8213 O
0.0000 1.6849 1.8213 O
1.7711 0.0000 6.2040 O
2.1680 -1.6640 3.8911 O
2.1680 1.6640 3.8911 O
2.4072 0.0000 1.7820 O
4.0696 -1.6564 5.8394 O
4.0696 1.6564 5.8394 O
5.7320 0.0000 1.7820 O
5.9713 -1.6640 3.8911 O
5.9713 1.6640 3.8911 O
6.3681 0.0000 6.2040 O
```

---

(5)
This entry pairs a crystal structure of Na2Eu2Ti3O10 with its computed XRD peak list. Radiation: λ = 1.5418 Å (Cu Kα). Structure: a structure optimized by DFT (GGA-PBE).
Intensities are scaled so that the largest is 100.

Principal peaks in the range 10 to 80 degrees two-theta, by angle:
27.87°, I = 40.2
31.88°, I = 100.0
32.80°, I = 55.3
47.06°, I = 38.3
57.97°, I = 37.3
66.64°, I = 27.0

Atomic structure:
```
Na2Eu2Ti3O10
1.0
-1.9309 1.9309 14.3047
1.9309 -1.9309 14.3047
1.9309 1.9309 -14.3047
Na Eu Ti O
2 2 3 10
Cartesian
0.0000 0.0000 6.0465 Na
0.0000 0.0000 22.5630 Na
0.0000 0.0000 2.1611 Eu
0.0000 0.0000 26.4484 Eu
0.0000 0.0000 10.1102 Ti
0.0000 0.0000 14.3047 Ti
0.0000 0.0000 18.4993 Ti
1.9309 0.0000 0.0000 O
1.9309 0.0000 3.7926 O
0.0000 0.0000 8.3473 O
1.9309 0.0000 10.5122 O
0.0000 0.0000 12.3709 O
0.0000 1.9309 0.0000 O
0.0000 0.0000 16.2385 O
0.0000 1.9309 3.7926 O
0.0000 0.0000 20.2621 O
0.0000 1.9309 10.5122 O
```

---

(6)
This entry pairs a crystal structure of NaEuTiO4 with its computed XRD peak list. Radiation: λ = 1.5418 Å (Cu Kα). Structure: a structure optimized by DFT (GGA-PBE).
Intensities are scaled so that the largest is 100.

Principal peaks in the range 10 to 80 degrees two-theta, by angle:
27.32°, I = 95.1
31.52°, I = 100.0
33.18°, I = 33.6
33.69°, I = 35.2
48.01°, I = 38.0
48.90°, I = 21.7

Atomic structure:
```
NaEuTiO4
1.0
12.8457 0.0000 0.0000
0.0000 5.4009 0.0000
0.0000 0.0000 5.3199
Na Eu Ti O
4 4 4 16
Cartesian
1.0965 0.0125 1.3300 Na
1.0965 2.6879 3.9900 Na
11.7492 2.7130 1.3300 Na
11.7492 5.3883 3.9900 Na
5.0417 0.1048 1.3300 Eu
5.0417 2.5956 3.9900 Eu
7.8040 2.8052 1.3300 Eu
7.8040 5.2960 3.9900 Eu
2.9644 2.7413 1.3300 Ti
2.9644 5.3600 3.9900 Ti
9.8813 0.0408 1.3300 Ti
9.8813 2.6596 3.9900 Ti
1.2120 2.8864 1.3300 O
1.2120 5.2149 3.9900 O
3.2813 1.3502 0.0000 O
3.2813 1.3502 2.6600 O
3.5581 4.0506 0.0000 O
3.5581 4.0506 2.6600 O
5.5588 0.2817 3.9900 O
5.5588 2.4187 1.3300 O
7.2869 2.9822 3.9900 O
7.2869 5.1191 1.3300 O
9.2876 1.3502 0.0000 O
9.2876 1.3502 2.6600 O
9.5643 4.0506 0.0000 O
9.5643 4.0506 2.6600 O
11.6337 0.1860 1.3300 O
11.6337 2.5145 3.9900 O
```

---

(7)
This entry pairs a crystal structure of Na3Eu2Si2Se6 with its computed XRD peak list. Radiation: λ = 1.5418 Å (Cu Kα). Structure: a structure optimized by DFT (GGA-PBE).
Intensities are scaled so that the largest is 100.

Principal peaks in the range 10 to 80 degrees two-theta, by angle:
11.71°, I = 28.7
25.02°, I = 15.8
29.37°, I = 100.0
40.49°, I = 35.5
43.50°, I = 35.7
53.36°, I = 17.3

Atomic structure:
```
Na3Eu2Si2Se6
1.0
3.6047 -6.2392 0.0000
3.6047 6.2392 0.0000
-2.3996 0.0000 7.5580
Na Eu Si Se
3 2 2 6
Cartesian
0.0000 0.0000 0.0000 Na
3.6047 2.1540 0.0000 Na
3.6047 -2.1540 0.0000 Na
2.4049 4.1647 3.7790 Eu
2.4049 -4.1647 3.7790 Eu
2.4110 0.0000 2.5980 Si
2.3989 0.0000 4.9600 Si
1.2779 1.9540 1.9244 Se
0.1514 0.0000 5.6312 Se
1.2779 -1.9540 1.9244 Se
3.5320 1.9540 5.6336 Se
4.6585 0.0000 1.9268 Se
3.5320 -1.9540 5.6336 Se
```

---

(8)
This entry pairs a crystal structure of Na3Eu2Si2Te6 with its computed XRD peak list. Radiation: λ = 1.5418 Å (Cu Kα). Structure: a structure optimized by DFT (GGA-PBE).
Intensities are scaled so that the largest is 100.

Principal peaks in the range 10 to 80 degrees two-theta, by angle:
10.96°, I = 18.2
27.21°, I = 100.0
37.62°, I = 37.3
40.06°, I = 36.9
49.10°, I = 18.9
65.16°, I = 15.6

Atomic structure:
```
Na3Eu2Si2Te6
1.0
3.8985 -6.7518 0.0000
3.8985 6.7518 0.0000
-2.5899 0.0000 8.0734
Na Eu Si Te
3 2 2 6
Cartesian
0.0000 0.0000 0.0000 Na
3.8985 2.2751 0.0000 Na
3.8985 -2.2751 0.0000 Na
2.6036 4.5022 4.0367 Eu
2.6036 -4.5022 4.0367 Eu
2.6081 0.0000 2.8473 Si
2.5991 0.0000 5.2261 Si
1.3657 2.1480 2.0661 Te
0.1252 0.0000 5.9896 Te
1.3657 -2.1480 2.0661 Te
3.8415 2.1480 6.0073 Te
5.0819 0.0000 2.0838 Te
3.8415 -2.1480 6.0073 Te
```

---

(9)
This entry pairs a crystal structure of Na4EuSi2Te6 with its computed XRD peak list. Radiation: λ = 1.5418 Å (Cu Kα). Structure: a structure optimized by DFT (GGA-PBE).
Intensities are scaled so that the largest is 100.

Principal peaks in the range 10 to 80 degrees two-theta, by angle:
24.18°, I = 25.3
27.35°, I = 100.0
37.63°, I = 37.0
40.45°, I = 35.6
49.52°, I = 17.8
61.82°, I = 15.6

Atomic structure:
```
Na4EuSi2Te6
1.0
3.8662 -6.6828 0.0000
3.8662 6.6828 0.0000
-2.5825 0.0000 8.1157
Na Eu Si Te
4 1 2 6
Cartesian
0.0000 0.0000 0.0000 Na
3.8662 2.1890 0.0000 Na
3.8662 -2.2444 0.0000 Na
2.5750 -4.4713 4.0579 Na
2.5750 -0.0205 4.0579 Eu
2.5841 4.4375 2.8753 Si
2.5659 4.4375 5.2404 Si
1.3773 2.3429 2.0789 Te
-0.0841 -0.1561 6.0342 Te
1.1326 -2.2420 2.0966 Te
3.7727 2.3429 6.0368 Te
5.2341 -0.1561 2.0815 Te
4.0173 -2.2420 6.0191 Te
```

---

(10)
This entry pairs a crystal structure of Na10EuSn12 with its computed XRD peak list. Radiation: λ = 1.5418 Å (Cu Kα). Structure: a structure optimized by DFT (GGA-PBE).
Intensities are scaled so that the largest is 100.

Principal peaks in the range 10 to 80 degrees two-theta, by angle:
11.09°, I = 91.6
19.27°, I = 98.6
29.63°, I = 70.8
33.71°, I = 81.5
37.39°, I = 100.0
57.80°, I = 43.5

Atomic structure:
```
Na10EuSn12
1.0
-5.6399 5.6399 5.6399
5.6399 -5.6399 5.6399
5.6399 5.6399 -5.6399
Na Eu Sn
10 1 12
Cartesian
3.4409 3.4409 -3.4409 Na
3.4409 -3.4409 3.4409 Na
5.6399 2.8199 0.0000 Na
5.6399 0.0000 2.8199 Na
2.1990 2.1990 2.1990 Na
2.8199 5.6399 0.0000 Na
2.8199 0.0000 5.6399 Na
-3.4409 3.4409 3.4409 Na
0.0000 5.6399 2.8199 Na
0.0000 2.8199 5.6399 Na
0.0000 0.0000 0.0000 Eu
3.1611 1.0297 -1.0297 Sn
3.1611 -1.0297 1.0297 Sn
8.1186 1.0297 1.0297 Sn
1.0297 3.1611 -1.0297 Sn
1.0297 -1.0297 3.1611 Sn
-1.0297 3.1611 1.0297 Sn
-1.0297 1.0297 3.1611 Sn
4.6101 4.6101 2.4788 Sn
4.6101 2.4788 4.6101 Sn
1.0297 8.1186 1.0297 Sn
1.0297 1.0297 8.1186 Sn
2.4788 4.6101 4.6101 Sn
```

---

(11)
This entry pairs a crystal structure of NaEu2Sn with its computed XRD peak list. Radiation: λ = 1.5418 Å (Cu Kα). Structure: a structure optimized by DFT (GGA-PBE).
Intensities are scaled so that the largest is 100.

Principal peaks in the range 10 to 80 degrees two-theta, by angle:
23.36°, I = 15.0
33.27°, I = 100.0
47.76°, I = 18.2
59.45°, I = 37.8
69.86°, I = 11.7
79.60°, I = 16.6

Atomic structure:
```
NaEu2Sn
1.0
0.0000 3.8084 3.8084
3.8084 0.0000 3.8084
3.8084 3.8084 0.0000
Na Eu Sn
1 2 1
Cartesian
0.0000 0.0000 0.0000 Na
1.9042 1.9042 1.9042 Eu
5.7126 5.7126 5.7126 Eu
3.8084 3.8084 3.8084 Sn
```

---

(12)
This entry pairs a crystal structure of NaEuTl2 with its computed XRD peak list. Radiation: λ = 1.5418 Å (Cu Kα). Structure: a structure optimized by DFT (GGA-PBE).
Intensities are scaled so that the largest is 100.

Principal peaks in the range 10 to 80 degrees two-theta, by angle:
22.69°, I = 17.6
32.30°, I = 100.0
46.33°, I = 18.5
57.61°, I = 39.0
67.60°, I = 12.1
76.92°, I = 16.8

Atomic structure:
```
NaEuTl2
1.0
0.0000 3.9194 3.9194
3.9194 0.0000 3.9194
3.9194 3.9194 0.0000
Na Eu Tl
1 1 2
Cartesian
0.0000 0.0000 0.0000 Na
3.9194 3.9194 3.9194 Eu
1.9597 1.9597 1.9597 Tl
5.8791 5.8791 5.8791 Tl
```